# Ni2P2O9
Calculated X-ray powder pattern, Cu Kα X-rays. Input: a PBE+U-relaxed structure.
No peak broadening, texture or thermal motion is included.

Lattice parameters (Å, degrees): 14.051 6.322 7.761 90.00 90.00 90.00
Space group Pnma (No. 62)
Asymmetric unit:
Ni  0.000  0.000  0.000
Ni  0.122  0.250  0.353
P  0.061  0.750  0.352
P  0.188  0.750  0.894
O  0.013  0.250  0.508
O  0.018  0.750  0.165
O  0.046  0.250  0.145
O  0.129  0.548  0.903
O  0.131  0.560  0.364
O  0.228  0.250  0.528
O  0.247  0.250  0.229

Most intense lines, 2θ = 5–70°, low angle first:
2theta  I_rel
12.60  100
17.02  90
18.10  42
19.18  85
22.14  76
23.79  100
29.90  39
31.21  83

# NiP3O9
Calculated X-ray powder pattern, Cu Kα X-rays. Input: a PBE+U-relaxed structure.
No peak broadening, texture or thermal motion is included.

Lattice parameters (Å, degrees): 8.319 8.600 8.880 90.00 90.00 90.00
Space group P2_12_12_1 (No. 19)
Asymmetric unit:
Ni  0.152  0.130  0.114
P  0.025  0.312  0.829
P  0.184  0.472  0.307
P  0.200  0.810  0.924
O  0.036  0.762  0.836
O  0.078  0.604  0.358
O  0.114  0.874  0.580
O  0.119  0.180  0.898
O  0.142  0.451  0.781
O  0.144  0.374  0.173
O  0.164  0.884  0.072
O  0.192  0.090  0.324
O  0.222  0.359  0.451

Most intense lines, 2θ = 5–70°, low angle first:
2theta  I_rel
17.88  100
22.54  64
22.98  49
23.62  38
24.98  35
25.38  41
33.05  33
33.84  53